Calculated powder XRD pattern of ThTeO for copper Kα, from a crystal structure in the Materials Project, relaxed with PBE.
No peak broadening, texture or thermal motion is included.

Top 10 peaks for 5° ≤ 2θ ≤ 70°, by angle:
(hkl)	2θ (°)	I/Imax
0 0 2	23.1	69
1 0 1	24.4	190
1 1 0	30.5	606
1 0 2	31.7	1000
1 1 2	38.6	128
2 0 0	43.7	278
1 0 4	52.4	131
2 1 2	55.0	429
1 1 4	57.3	110
2 2 0	63.6	91

a b c (Å): 4.140 4.140 7.696
angles (deg): 90.00 90.00 90.00
Positions (direct):
Th1 0.250 0.250 0.168
Th2 0.750 0.750 0.832
Te1 0.250 0.250 0.635
Te2 0.750 0.750 0.365
O1 0.250 0.750 0.000
O2 0.750 0.250 0.000